No. 1
Diffraction record for Cd3H2Pd3. The powder XRD pattern is calculated, not measured: it uses a GGA-PBE-relaxed structure and Cu Ka.
Kinematic intensities with the Lorentz-polarization factor, no thermal factor.

Principal peaks in the range 10 to 90 degrees two-theta, in order of falling intensity:
2θ (°)  d_spacing  intensity  index
39.01  2.309  100.0  0 4 3
36.21  2.481  89.3  1 1 3
39.50  2.282  51.7  1 3 1
38.75  2.324  49.7  0 0 6
40.18  2.244  32.9  1 1 4
74.56  1.273  23.5  2 4 3
61.43  1.509  18.2  1 3 7
60.71  1.525  15.2  2 0 0
33.14  2.703  14.4  1 1 2
74.39  1.275  13.8  2 0 6

Structure:
```
data_Cd3H2Pd3
_space_group_name_H-M_alt 'C m c m'
_space_group_IT_number 63
_space_group_name_Hall '-C 2c 2'
_cell_length_a 3.051
_cell_length_b 10.639
_cell_length_c 13.945
_cell_angle_alpha 90.00
_cell_angle_beta 90.00
_cell_angle_gamma 90.00
loop_
_atom_site_label
_atom_site_fract_x
_atom_site_fract_y
_atom_site_fract_z
_atom_site_occupancy
Cd1 0.000 0.057 0.250 1
Cd2 0.000 0.421 0.095 1
H1 0.000 0.295 0.632 1
Pd1 0.000 0.160 0.069 1
Pd2 0.000 0.211 0.750 1
```

***

No. 2
Diffraction record for Ba2LiCdF6. The powder XRD pattern is calculated, not measured: it uses a GGA-PBE-relaxed structure and Cu Ka.
Kinematic intensities with the Lorentz-polarization factor, no thermal factor.

Principal peaks in the range 10 to 90 degrees two-theta, in order of falling intensity:
2θ (°)  d_spacing  intensity  index
28.86  3.094  100.0  1 2 1
18.29  4.850  35.0  1 1 0
30.39  2.941  27.5  2 0 0
44.81  2.023  26.9  0 2 3
40.34  2.236  26.1  2 0 2
25.89  3.442  24.9  0 0 2
30.08  2.971  23.3  1 0 2
53.06  1.726  19.6  3 2 1
42.18  2.143  18.9  0 4 0
37.07  2.425  16.6  2 2 0

Structure:
```
data_Ba2LiCdF6
_space_group_name_H-M_alt 'P m m n'
_space_group_IT_number 59
_cell_length_a 5.882
_cell_length_b 8.570
_cell_length_c 6.884
_cell_angle_alpha 90.00
_cell_angle_beta 90.00
_cell_angle_gamma 90.00
loop_
_space_group_symop_operation_xyz
'x,y,z'
'-x,-y,-z'
'-x+1/2,-y+1/2,z'
'x+1/2,y+1/2,-z'
'x+1/2,-y,-z'
'-x+1/2,y,z'
'-x,y+1/2,-z'
'x,-y+1/2,z'
loop_
_atom_site_label
_atom_site_fract_x
_atom_site_fract_y
_atom_site_fract_z
_atom_site_occupancy
Ba1 0.250 0.024 0.193 1
Li1 0.250 0.750 0.785 1
Cd1 0.250 0.250 0.685 1
F1 0.008 0.750 0.027 1
F2 0.015 0.250 0.386 1
F3 0.250 0.515 0.815 1
```

***

No. 3
Diffraction record for CsAlCu2Cl8. The powder XRD pattern is calculated, not measured: it uses a GGA-PBE-relaxed structure and Cu Ka.
Kinematic intensities with the Lorentz-polarization factor, no thermal factor.

Principal peaks in the range 10 to 90 degrees two-theta, in order of falling intensity:
2θ (°)  d_spacing  intensity  index
18.69  4.748  100.0  1 0 1
34.06  2.632  74.1  2 -1 2
24.72  3.601  69.3  0 1 2
29.80  2.998  69.0  1 1 1
28.27  3.157  51.5  1 1 0
27.96  3.191  47.8  0 0 3
50.04  1.823  42.3  3 0 0
47.94  1.897  27.9  3 -2 2
37.90  2.374  27.5  2 0 2
58.30  1.583  27.5  0 3 3

Structure:
```
data_CsAlCu2Cl8
_space_group_name_H-M_alt 'P -3'
_space_group_IT_number 147
_space_group_name_Hall '-P 3'
_cell_length_a 6.3143
_cell_length_b 6.3143
_cell_length_c 9.5723
_cell_angle_alpha 90.00
_cell_angle_beta 90.00
_cell_angle_gamma 120.00
loop_
_atom_site_label
_atom_site_fract_x
_atom_site_fract_y
_atom_site_fract_z
_atom_site_occupancy
Cs1 0.0000 0.0000 0.0000 1
Al1 0.0000 0.0000 0.5000 1
Cu1 0.3333 0.6667 0.6917 1
Cl1 0.0104 0.7035 0.3568 1
Cl2 0.3333 0.6667 0.9226 1
```